# 1
For Ga2Bi2Pb, a DFT-relaxed cell (GGA-PBE, Alexandria) gives the calculated powder X-ray diffraction pattern in this record (Cu Kα (weighted mean of Kα1 and Kα2)).

Atomic structure:
Cell lengths 8.530, 8.530, 4.255 Å; angles 104.25, 104.25, 94.18 degrees
Atoms (fractional coordinates):
1 Ga 0.077 0.923 0.750
2 Ga 0.215 0.785 0.250
3 Ga 0.785 0.215 0.750
4 Ga 0.923 0.077 0.250
5 Bi 0.146 0.347 0.997
6 Bi 0.347 0.146 0.497
7 Bi 0.653 0.854 0.503
8 Bi 0.854 0.653 0.003
9 Pb 0.390 0.610 0.750
10 Pb 0.610 0.390 0.250

Principal peaks in the range 15° ≤ 2θ ≤ 90°, in order of rising 2θ:
d/Å  2θ/deg  I (rel.)
3.345  26.7  24.9
3.239  27.5  40.2
3.224  27.7  39.8
3.124  28.6  41.6
2.707  33.1  71.6
2.612  34.3  100.0
2.604  34.4  99.2
2.127  42.5  33.3
2.046  44.3  26.1
1.650  55.7  20.3
1.575  58.6  33.8
1.546  59.8  20.5

=====

# 2
For Ga2Bi5Pb12, a DFT-relaxed cell (GGA-PBE, Alexandria) gives the calculated powder X-ray diffraction pattern in this record (Cu Kα (weighted mean of Kα1 and Kα2)).

Atomic structure:
Cell lengths 9.808, 9.808, 6.642 Å; angles 96.38, 96.38, 69.17 degrees
Atoms (fractional coordinates):
1 Ga 0.250 0.750 0.000
2 Ga 0.750 0.250 0.000
3 Bi 0.000 0.000 0.500
4 Bi 0.211 0.211 0.506
5 Bi 0.324 0.324 0.113
6 Bi 0.676 0.676 0.887
7 Bi 0.789 0.789 0.494
8 Pb 0.078 0.541 0.795
9 Pb 0.106 0.106 0.975
10 Pb 0.162 0.641 0.371
11 Pb 0.359 0.838 0.629
12 Pb 0.459 0.459 0.736
13 Pb 0.459 0.922 0.205
14 Pb 0.541 0.078 0.795
15 Pb 0.541 0.541 0.264
16 Pb 0.641 0.162 0.371
17 Pb 0.838 0.359 0.629
18 Pb 0.894 0.894 0.025
19 Pb 0.922 0.459 0.205

Principal peaks in the range 15° ≤ 2θ ≤ 90°, in order of rising 2θ:
d/Å  2θ/deg  I (rel.)
3.175  28.1  21.2
2.937  30.4  35.9
2.833  31.6  15.1
2.794  32.0  100.0
2.784  32.2  59.0
2.774  32.3  64.2
2.597  34.5  14.6
2.354  38.2  29.8
2.046  44.3  17.5
1.649  55.8  16.8
1.609  57.3  17.2
1.605  57.4  16.6

=====

# 3
For GaBi2Pb4, a DFT-relaxed cell (GGA-PBE, Alexandria) gives the calculated powder X-ray diffraction pattern in this record (Cu Kα (weighted mean of Kα1 and Kα2)).

Atomic structure:
Cell lengths 7.391, 6.776, 9.707 Å; angles 90.00, 110.15, 90.00 degrees
Atoms (fractional coordinates):
1 Ga 0.138 0.250 0.163
2 Ga 0.862 0.750 0.837
3 Bi 0.229 0.750 0.426
4 Bi 0.272 0.750 0.940
5 Bi 0.728 0.250 0.060
6 Bi 0.771 0.250 0.574
7 Pb 0.135 0.250 0.467
8 Pb 0.161 0.250 0.864
9 Pb 0.491 0.000 0.740
10 Pb 0.491 0.500 0.740
11 Pb 0.509 0.000 0.260
12 Pb 0.509 0.500 0.260
13 Pb 0.839 0.750 0.136
14 Pb 0.865 0.750 0.533

Principal peaks in the range 15° ≤ 2θ ≤ 90°, in order of rising 2θ:
d/Å  2θ/deg  I (rel.)
3.380  26.4  81.0
3.320  26.9  72.0
3.088  28.9  27.3
3.044  29.3  64.9
2.729  32.8  61.0
2.719  32.9  59.2
2.425  37.1  100.0
2.313  38.9  20.4
1.761  51.9  16.6
1.705  53.8  17.9
1.694  54.1  19.5
1.389  67.4  16.3

=====

# 4
For GaBi2Pb2, a DFT-relaxed cell (GGA-PBE, Alexandria) gives the calculated powder X-ray diffraction pattern in this record (Cu Kα (weighted mean of Kα1 and Kα2)).

Atomic structure:
Cell lengths 9.791, 8.619, 7.709 Å; angles 90.00, 91.84, 90.00 degrees
Atoms (fractional coordinates):
1 Ga 0.118 0.082 0.133
2 Ga 0.118 0.418 0.633
3 Ga 0.882 0.582 0.367
4 Ga 0.882 0.918 0.867
5 Bi 0.125 0.085 0.745
6 Bi 0.125 0.415 0.245
7 Bi 0.388 0.569 0.729
8 Bi 0.388 0.931 0.229
9 Bi 0.612 0.069 0.771
10 Bi 0.612 0.431 0.271
11 Bi 0.875 0.585 0.755
12 Bi 0.875 0.915 0.255
13 Pb 0.168 0.715 0.982
14 Pb 0.168 0.785 0.482
15 Pb 0.392 0.234 0.491
16 Pb 0.392 0.266 0.991
17 Pb 0.608 0.734 0.009
18 Pb 0.608 0.766 0.509
19 Pb 0.832 0.215 0.518
20 Pb 0.832 0.285 0.018

Principal peaks in the range 15° ≤ 2θ ≤ 90°, in order of rising 2θ:
d/Å  2θ/deg  I (rel.)
3.765  23.6  75.5
3.682  24.2  47.9
2.897  30.9  64.8
2.872  31.1  87.6
2.817  31.8  73.9
2.477  36.3  100.0
2.447  36.7  44.2
2.227  40.5  17.8
2.172  41.6  16.4
1.926  47.2  18.0
1.841  49.5  19.6
1.491  62.3  19.3

=====

# 5
For Ga2Bi3Pb2, a DFT-relaxed cell (GGA-PBE, Alexandria) gives the calculated powder X-ray diffraction pattern in this record (Cu Kα (weighted mean of Kα1 and Kα2)).

Atomic structure:
Cell lengths 4.463, 6.394, 8.042 Å; angles 71.00, 81.27, 72.99 degrees
Atoms (fractional coordinates):
1 Ga 0.239 0.435 0.100
2 Ga 0.761 0.565 0.900
3 Bi 0.000 0.500 0.500
4 Bi 0.443 0.810 0.195
5 Bi 0.557 0.190 0.805
6 Pb 0.208 0.869 0.678
7 Pb 0.792 0.131 0.322

Principal peaks in the range 15° ≤ 2θ ≤ 90°, in order of rising 2θ:
d/Å  2θ/deg  I (rel.)
3.619  24.6  28.1
3.188  28.0  44.5
3.080  29.0  31.0
2.920  30.6  15.4
2.821  31.7  54.0
2.767  32.4  65.8
2.749  32.6  100.0
2.741  32.7  64.7
2.440  36.8  31.8
2.213  40.8  34.3
1.987  45.7  16.5
1.946  46.7  18.5

=====

# 6
For Ga2Bi4Pb5, a DFT-relaxed cell (GGA-PBE, Alexandria) gives the calculated powder X-ray diffraction pattern in this record (Cu Kα (weighted mean of Kα1 and Kα2)).

Atomic structure:
Cell lengths 4.648, 8.218, 9.898 Å; angles 86.39, 89.62, 73.68 degrees
Atoms (fractional coordinates):
1 Ga 0.040 0.429 0.128
2 Ga 0.960 0.571 0.872
3 Bi 0.248 0.019 0.250
4 Bi 0.462 0.581 0.256
5 Bi 0.538 0.419 0.744
6 Bi 0.752 0.981 0.750
7 Pb 0.000 0.500 0.500
8 Pb 0.333 0.817 0.953
9 Pb 0.340 0.807 0.565
10 Pb 0.660 0.193 0.435
11 Pb 0.667 0.183 0.047

Principal peaks in the range 15° ≤ 2θ ≤ 90°, in order of rising 2θ:
d/Å  2θ/deg  I (rel.)
4.457  19.9  60.1
3.479  25.6  81.6
2.971  30.1  65.6
2.908  30.7  77.4
2.898  30.9  75.4
2.680  33.4  82.4
2.664  33.6  81.7
2.554  35.1  58.4
2.493  36.0  59.3
2.483  36.2  56.1
2.381  37.8  51.8
2.324  38.7  100.0